For LiVF4, a cell relaxed with PBE+U gives the calculated powder diffraction line list in this record (Cu Kα (λ = 1.5418 Å)).
Peak positions follow from Bragg's law for the DFT cell and can differ from measured ones.

Crystal structure
```
LiVF4
1.0
5.5353 0.0000 0.0000
0.0000 5.2919 0.0000
-2.6187 0.0000 5.3184
Li V F
2 2 8
Cartesian
-0.0540 0.0000 2.5215 Li
2.9706 2.6460 2.7969 Li
1.4006 3.5866 0.0230 V
1.5160 0.9407 5.2954 V
-1.2365 4.0546 3.4500 F
0.2690 5.1528 0.4982 F
-0.1719 1.9900 4.9657 F
1.3765 3.1577 1.8769 F
1.5401 0.5117 3.4415 F
3.0885 4.6359 0.3527 F
2.6476 2.5068 4.8201 F
4.1531 1.4086 1.8683 F
```

The 10 most intense peaks (2θ = 10–90°), sorted by position:
16.7°, I = 98
24.6°, I = 84
24.9°, I = 100
33.7°, I = 21
37.9°, I = 17
38.8°, I = 19
40.1°, I = 17
47.6°, I = 33
49.4°, I = 23
53.1°, I = 17

---

For LiCoBO3, a cell relaxed with PBE+U gives the calculated powder diffraction line list in this record (Cu Kα (λ = 1.5418 Å)).
Peak positions follow from Bragg's law for the DFT cell and can differ from measured ones.

Crystal structure
```
LiCoBO3
1.0
3.1165 0.0000 0.0000
-0.0865 9.1567 0.0000
-0.1064 -0.0021 9.3843
Li Co B O
4 4 4 12
Cartesian
0.7335 1.2320 1.8480 Li
0.6841 3.3450 6.5403 Li
2.2395 5.8096 2.8440 Li
2.1901 7.9225 7.5363 Li
0.6505 7.3054 5.2748 Co
0.7312 6.4282 0.5812 Co
2.1924 2.7264 8.8031 Co
2.2731 1.8492 4.1095 Co
0.7104 3.6330 1.9825 B
0.7018 0.9432 6.6760 B
2.2218 8.2114 2.7083 B
2.2132 5.5216 7.4018 B
0.6774 5.0021 2.0620 O
0.7332 2.9447 0.7570 O
0.7037 1.6337 5.4493 O
0.6800 1.7208 7.8260 O
0.7221 2.8535 3.1314 O
0.6327 8.7306 6.7543 O
2.2909 0.4240 2.6300 O
2.2015 6.3010 6.2529 O
2.2436 7.4337 1.5583 O
2.2199 7.5208 3.9350 O
2.1904 6.2098 8.6273 O
2.2462 4.1524 7.3223 O
```

The 10 most intense peaks (2θ = 10–90°), sorted by position:
13.5°, I = 82
19.4°, I = 100
21.3°, I = 72
27.2°, I = 67
30.8°, I = 44
31.8°, I = 21
34.4°, I = 21
34.7°, I = 25
35.9°, I = 18
51.1°, I = 19

---

For CoCuP2O7, a cell relaxed with PBE+U gives the calculated powder diffraction line list in this record (Cu Kα (λ = 1.5418 Å)).
Peak positions follow from Bragg's law for the DFT cell and can differ from measured ones.

Crystal structure
```
CoCuP2O7
1.0
4.5931 0.0000 0.0000
-1.0134 5.2673 0.0000
-1.0232 -1.2856 5.1365
Co Cu P O
1 1 2 7
Cartesian
0.0000 0.0000 0.0000 Co
-0.9896 1.1889 3.2075 Cu
0.4533 4.0170 2.6914 P
2.1390 2.3685 0.5993 P
-0.4424 3.0857 3.5413 O
0.6808 -0.2571 1.8681 O
0.0627 0.4321 4.8021 O
1.2896 3.0265 1.7689 O
2.5401 -0.5209 3.5451 O
1.9140 2.1234 4.9778 O
3.0367 1.3218 1.2949 O
```

The 10 most intense peaks (2θ = 10–90°), sorted by position:
20.3°, I = 16
28.9°, I = 97
29.6°, I = 100
29.8°, I = 48
35.1°, I = 25
35.2°, I = 13
42.3°, I = 13
43.1°, I = 16
58.6°, I = 16
70.4°, I = 14

---

For Mg5Mn3Zn4Si4O24, a cell relaxed with PBE+U gives the calculated powder diffraction line list in this record (Cu Kα (λ = 1.5418 Å)).
Peak positions follow from Bragg's law for the DFT cell and can differ from measured ones.

Crystal structure
```
Mg5Mn3Zn4Si4O24
1.0
4.1834 -3.0250 0.0000
4.1834 3.0250 0.0000
-0.0902 0.0000 18.2376
Mg Mn Zn Si O
5 3 4 4 24
Cartesian
0.0000 0.0000 0.0000 Mg
6.2199 1.5119 7.2426 Mg
6.1832 1.4741 16.3322 Mg
6.1832 -1.4741 16.3322 Mg
6.2199 -1.5119 7.2426 Mg
3.9769 0.0000 8.7650 Mn
4.2772 0.0000 5.7237 Mn
8.1357 0.0000 14.7406 Mn
3.3191 1.4899 2.7243 Zn
4.9330 1.5101 11.7883 Zn
3.3191 -1.4899 2.7243 Zn
4.9330 -1.5101 11.7883 Zn
1.1500 0.0000 4.4779 Si
2.9014 0.0000 13.5677 Si
5.3452 0.0000 0.9339 Si
7.0919 0.0000 10.0254 Si
3.8585 1.6498 10.0923 O
4.1215 1.8616 16.2288 O
1.8223 0.0000 17.5904 O
1.9052 0.0000 12.2473 O
1.9408 0.0000 14.8952 O
3.8498 1.3766 13.4846 O
2.1252 0.0000 3.1533 O
4.3928 1.6417 4.4231 O
2.1310 0.0000 5.8077 O
2.2052 0.0000 8.5859 O
4.1252 1.2355 7.2465 O
4.3901 1.3336 1.0659 O
3.8498 -1.3766 13.4846 O
4.1252 -1.2355 7.2465 O
6.0492 0.0000 5.9072 O
6.0997 0.0000 11.3475 O
6.1207 0.0000 8.6894 O
3.8585 -1.6498 10.0923 O
4.3901 -1.3336 1.0659 O
6.1686 0.0000 17.7945 O
6.4220 0.0000 2.1964 O
6.3565 0.0000 14.9510 O
4.3928 -1.6417 4.4231 O
4.1215 -1.8616 16.2288 O
```

The 10 most intense peaks (2θ = 10–90°), sorted by position:
18.7°, I = 77
25.8°, I = 49
25.9°, I = 58
32.7°, I = 40
35.6°, I = 100
37.0°, I = 69
38.0°, I = 41
50.1°, I = 38
61.9°, I = 44
62.1°, I = 42

---

For Li9Mn2Co5O16, a cell relaxed with PBE+U gives the calculated powder diffraction line list in this record (Cu Kα (λ = 1.5418 Å)).
Peak positions follow from Bragg's law for the DFT cell and can differ from measured ones.

Crystal structure
```
Li9Mn2Co5O16
1.0
2.9369 0.0000 0.0000
-0.1164 5.1202 0.0000
-1.0375 -1.4815 19.2166
Li Mn Co O
9 2 5 16
Cartesian
0.0000 0.0000 0.0000 Li
-0.8027 0.1586 14.3946 Li
-0.5529 1.7931 9.5027 Li
1.2186 4.2932 2.4231 Li
0.7694 1.0230 12.0085 Li
0.5499 -0.6475 16.7831 Li
1.0410 2.5469 7.1655 Li
2.4909 0.1619 7.2215 Li
2.5579 3.4824 4.7873 Li
0.5840 2.7600 14.3667 Mn
0.9676 -0.7191 9.5189 Mn
-0.7016 3.5465 11.9560 Co
1.1683 0.8482 4.8904 Co
1.4183 2.5515 0.0053 Co
2.7554 1.6790 2.4171 Co
1.9484 1.9351 16.8117 Co
-0.9882 0.2982 18.0703 O
-0.1402 0.1040 3.6517 O
-0.5178 -0.0499 10.7125 O
-0.6900 1.9561 13.1397 O
0.6918 -0.7822 13.1320 O
0.3756 2.6892 17.9333 O
1.1855 2.3976 3.5782 O
0.9508 0.8242 8.5228 O
1.0399 4.5280 5.8371 O
0.5962 1.1762 15.6302 O
1.4136 0.9212 1.2572 O
0.9232 2.8306 10.7935 O
1.8729 3.5735 15.5623 O
2.4683 1.7543 5.8806 O
2.3270 3.6122 8.5117 O
2.7718 3.3331 1.1438 O
```

The 10 most intense peaks (2θ = 10–90°), sorted by position:
18.3°, I = 100
35.0°, I = 17
35.9°, I = 13
36.8°, I = 12
42.1°, I = 31
43.6°, I = 27
44.7°, I = 25
47.4°, I = 10
62.3°, I = 8
64.8°, I = 9